(1)
LuSi: computed powder XRD pattern (λ = 1.5418 Å (Cu Kα)), based on a DFT-relaxed cell (GGA-PBE, Alexandria).

Main lines, low angle first (10° ≤ 2θ ≤ 80°):
hkl 1 1 0, 22.39 deg, I = 29.5; hkl 1 1 1, 26.65 deg, I = 21.3; hkl 0 0 2, 28.78 deg, I = 34.8; hkl 0 4 1, 32.06 deg, I = 39.1; hkl 1 3 1, 33.60 deg, I = 100.0; hkl 1 1 2, 36.77 deg, I = 42.9; hkl 2 0 0, 43.21 deg, I = 21.1; hkl 1 3 3, 54.14 deg, I = 16.7; hkl 2 4 1, 54.81 deg, I = 17.8; hkl 0 8 1, 61.11 deg, I = 17.4

Atomic structure:
abc: 4.188 12.503 6.204
angles: 90.00 90.00 90.00
Space group Cmcm (No. 63)
Unique sites:
Lu (0.000, 0.050, 0.250) [4 per cell]
Lu (0.000, 0.224, 0.750) [4 per cell]
Si (0.000, 0.401, 0.052) [8 per cell]

(2)
InSbTe3: computed powder XRD pattern (λ = 1.5418 Å (Cu Kα)), based on a DFT-relaxed cell (GGA-PBE, Alexandria).

Main lines, low angle first (10° ≤ 2θ ≤ 80°):
hkl 0 0 2, 15.24 deg, I = 27.1; hkl 1 1 -1, 24.37 deg, I = 29.8; hkl 1 1 -2, 27.36 deg, I = 100.0; hkl 2 0 2, 30.92 deg, I = 47.2; hkl 0 1 4, 37.01 deg, I = 15.3; hkl 1 1 4, 40.46 deg, I = 21.3; hkl 0 2 0, 40.85 deg, I = 26.7; hkl 3 1 0, 43.01 deg, I = 30.1; hkl 0 1 5, 44.00 deg, I = 18.1; hkl 2 2 2, 52.09 deg, I = 21.4

Atomic structure:
abc: 7.234 4.418 11.726
angles: 90.00 97.34 90.00
Space group P2_1/m (No. 11)
Unique sites:
In (0.031, 0.250, 0.247) [2 per cell]
Sb (0.430, 0.250, 0.832) [2 per cell]
Te (0.129, 0.250, 0.639) [2 per cell]
Te (0.223, 0.750, 0.960) [2 per cell]
Te (0.414, 0.250, 0.315) [2 per cell]

(3)
ScTlRuO6: computed powder XRD pattern (λ = 1.5418 Å (Cu Kα)), based on a DFT-relaxed cell (GGA-PBE, Alexandria).

Main lines, low angle first (10° ≤ 2θ ≤ 80°):
hkl 1 0 0, 19.27 deg, I = 22.1; hkl 1 0 1, 27.01 deg, I = 100.0; hkl 1 1 0, 33.70 deg, I = 32.3; hkl 1 0 2, 42.96 deg, I = 7.7; hkl 2 0 1, 43.71 deg, I = 26.5; hkl 2 -1 2, 51.70 deg, I = 31.8; hkl 3 -1 1, 56.30 deg, I = 25.9; hkl 3 0 0, 60.27 deg, I = 11.4; hkl 1 0 3, 62.19 deg, I = 9.3; hkl 3 1 1, 77.37 deg, I = 10.4

Atomic structure:
abc: 5.3190 5.3190 4.7336
angles: 90.00 90.00 120.00
Space group P312 (No. 149)
Unique sites:
Sc (0.0000, 0.0000, 0.0000) [1 per cell]
Tl (0.6667, 0.3333, 0.5000) [1 per cell]
Ru (0.3333, 0.6667, 0.0000) [1 per cell]
O (0.0436, 0.3554, 0.2299) [6 per cell]

(4)
AcAl2AgSn: computed powder XRD pattern (λ = 1.5418 Å (Cu Kα)), based on a DFT-relaxed cell (GGA-PBE, Alexandria).

Main lines, low angle first (10° ≤ 2θ ≤ 80°):
hkl 0 0 1, 20.81 deg, I = 31.7; hkl 1 1 -1, 27.24 deg, I = 24.6; hkl 3 1 0, 30.60 deg, I = 63.0; hkl 1 1 1, 31.60 deg, I = 100.0; hkl 0 2 0, 38.74 deg, I = 24.5; hkl 2 0 -2, 39.08 deg, I = 23.9; hkl 4 0 1, 44.66 deg, I = 26.3; hkl 1 1 2, 50.41 deg, I = 24.7; hkl 2 2 -2, 56.20 deg, I = 16.7; hkl 7 1 -2, 60.81 deg, I = 16.5

Atomic structure:
abc: 12.184 4.648 4.610
angles: 90.00 112.18 90.00
Space group Cm (No. 8)
Unique sites:
Ac (0.000, 0.000, 0.000) [2 per cell]
Al (0.125, 0.500, 0.625) [2 per cell]
Al (0.241, 0.000, 0.742) [2 per cell]
Ag (0.236, 0.500, 0.236) [2 per cell]
Sn (0.385, 0.000, 0.385) [2 per cell]

(5)
Cr2NiN2: computed powder XRD pattern (λ = 1.5418 Å (Cu Kα)), based on a DFT-relaxed cell (GGA-PBE, Alexandria).

Main lines, low angle first (10° ≤ 2θ ≤ 80°):
hkl 2 0 1, 33.66 deg, I = 9.8; hkl 0 1 1, 34.11 deg, I = 8.5; hkl 1 0 5, 38.75 deg, I = 8.1; hkl 2 0 3, 39.22 deg, I = 93.7; hkl 0 1 3, 39.62 deg, I = 100.0; hkl 0 0 6, 42.20 deg, I = 49.5; hkl 2 1 0, 47.57 deg, I = 97.8; hkl 2 1 6, 65.45 deg, I = 42.5; hkl 4 0 0, 69.01 deg, I = 13.2; hkl 0 2 0, 70.09 deg, I = 14.1

Atomic structure:
abc: 5.443 2.685 12.848
angles: 90.00 90.00 90.00
Space group Pnma (No. 62)
Unique sites:
Cr (0.111, 0.250, 0.076) [4 per cell]
Cr (0.160, 0.250, 0.431) [4 per cell]
Ni (0.112, 0.250, 0.731) [4 per cell]
N (0.122, 0.250, 0.583) [4 per cell]
N (0.127, 0.250, 0.872) [4 per cell]

(6)
BaIn2Ag4: computed powder XRD pattern (λ = 1.5418 Å (Cu Kα)), based on a DFT-relaxed cell (GGA-PBE, Alexandria).

Main lines, low angle first (10° ≤ 2θ ≤ 80°):
hkl 1 1 0, 14.10 deg, I = 15.3; hkl 2 0 2, 28.79 deg, I = 12.0; hkl 3 1 0, 31.85 deg, I = 81.6; hkl 2 1 3, 38.55 deg, I = 100.0; hkl 4 0 0, 40.61 deg, I = 15.6; hkl 3 3 0, 43.20 deg, I = 14.4; hkl 3 2 3, 48.57 deg, I = 10.5; hkl 4 1 3, 53.03 deg, I = 11.2; hkl 5 2 3, 65.12 deg, I = 30.0; hkl 4 0 6, 79.13 deg, I = 10.5

Atomic structure:
abc: 8.886 8.886 8.661
angles: 90.00 90.00 90.00
Space group I4/mcm (No. 140)
Unique sites:
Ba (0.000, 0.000, 0.250) [4 per cell]
In (0.155, 0.345, 0.000) [8 per cell]
Ag (0.142, 0.358, 0.336) [16 per cell]